Theoretical X-ray diffraction stick pattern
Compound: Cs2NiPdSe4
Radiation: Cu Kα (λ = 1.5418 Å)
Structure: DFT lattice parameters and positions (PBE)

Crystal structure
```
Cs2NiPdSe4
1.0
0.000 7.124 11.931
3.003 0.000 11.931
3.003 7.124 0.000
Cs Ni Pd Se
4 2 2 8
direct
0.059 0.059 0.691 Cs
0.309 0.309 0.941 Cs
0.691 0.691 0.059 Cs
0.941 0.941 0.309 Cs
0.375 0.375 0.375 Ni
0.625 0.625 0.625 Ni
0.125 0.125 0.125 Pd
0.875 0.875 0.875 Pd
0.003 0.631 0.574 Se
0.292 0.574 0.631 Se
0.369 0.997 0.708 Se
0.426 0.708 0.997 Se
0.574 0.292 0.003 Se
0.631 0.003 0.292 Se
0.708 0.426 0.369 Se
0.997 0.369 0.426 Se
```

Most intense lines, 2θ = 5–70°, in order of rising 2θ:
24.18°, d 3.681, I = 37; 25.65°, d 3.473, I = 40; 26.42°, d 3.374, I = 100; 30.44°, d 2.937, I = 99; 37.53°, d 2.396, I = 52; 48.90°, d 1.863, I = 42